[1]
The following is a theoretical PXRD pattern of BaAgSe. It was derived from DFT lattice parameters and positions (PBE), using Cu Kα (weighted mean of Kα1 and Kα2).
Peak positions follow from Bragg's law for the DFT cell and can differ from measured ones.

Structure:
```
data_BaAgSe
_chemical_formula_sum 'Ba2 Ag2 Se2'
_cell_length_a 4.6140
_cell_length_b 4.7067
_cell_length_c 9.7587
_cell_angle_alpha 96.70
_cell_angle_beta 100.79
_cell_angle_gamma 90.28
_space_group_name_H-M_alt 'P 1'
_space_group_IT_number 1
loop_
_space_group_symop_operation_xyz
'x,y,z'
loop_
_atom_site_label
_atom_site_type_symbol
_atom_site_fract_x
_atom_site_fract_y
_atom_site_fract_z
Ba1 Ba 0.1728 0.2040 0.3090
Ba2 Ba 0.8272 0.7960 0.6910
Ag1 Ag 0.4400 0.2142 0.9209
Ag2 Ag 0.5600 0.7858 0.0791
Se1 Se 0.3095 0.2989 0.6541
Se2 Se 0.6905 0.7011 0.3459
```

Main lines, in order of rising 2θ (10° ≤ 2θ ≤ 80°):
24.4 deg, d = 3.643 Å, I 39
27.0 deg, d = 3.298 Å, I 84
27.3 deg, d = 3.262 Å, I 55
27.8 deg, d = 3.209 Å, I 75
28.1 deg, d = 3.171 Å, I 100
31.3 deg, d = 2.861 Å, I 38
32.2 deg, d = 2.782 Å, I 67
38.5 deg, d = 2.336 Å, I 52
39.1 deg, d = 2.304 Å, I 61
40.5 deg, d = 2.228 Å, I 48

[2]
The following is a theoretical PXRD pattern of BaAg2Se2. It was derived from DFT lattice parameters and positions (PBE), using Cu Kα (weighted mean of Kα1 and Kα2).
Peak positions follow from Bragg's law for the DFT cell and can differ from measured ones.

Structure:
```
data_BaAg2Se2
_chemical_formula_sum 'Ba4 Ag8 Se8'
_cell_length_a 10.6099
_cell_length_b 4.4406
_cell_length_c 11.3247
_cell_angle_alpha 90.00
_cell_angle_beta 90.00
_cell_angle_gamma 90.00
_space_group_name_H-M_alt 'P 1'
_space_group_IT_number 1
loop_
_space_group_symop_operation_xyz
'x,y,z'
loop_
_atom_site_label
_atom_site_type_symbol
_atom_site_fract_x
_atom_site_fract_y
_atom_site_fract_z
Ba1 Ba 0.2433 0.2500 0.1918
Ba2 Ba 0.2567 0.7500 0.6918
Ba3 Ba 0.7433 0.2500 0.3082
Ba4 Ba 0.7567 0.7500 0.8082
Ag1 Ag 0.0595 0.7500 0.4133
Ag2 Ag 0.0676 0.7500 0.9502
Ag3 Ag 0.4324 0.2500 0.4502
Ag4 Ag 0.4405 0.2500 0.9133
Ag5 Ag 0.5595 0.7500 0.0867
Ag6 Ag 0.5676 0.7500 0.5498
Ag7 Ag 0.9324 0.2500 0.0498
Ag8 Ag 0.9405 0.2500 0.5867
Se1 Se 0.0191 0.2500 0.8129
Se2 Se 0.1818 0.2500 0.4818
Se3 Se 0.3182 0.7500 0.9818
Se4 Se 0.4809 0.7500 0.3129
Se5 Se 0.5191 0.2500 0.6871
Se6 Se 0.6818 0.2500 0.0182
Se7 Se 0.8182 0.7500 0.5182
Se8 Se 0.9809 0.7500 0.1871
```

Main lines, in order of rising 2θ (10° ≤ 2θ ≤ 80°):
27.4 deg, d = 3.261 Å, I 100
29.8 deg, d = 3.000 Å, I 54
32.2 deg, d = 2.776 Å, I 68
32.7 deg, d = 2.735 Å, I 34
38.7 deg, d = 2.329 Å, I 48
39.6 deg, d = 2.277 Å, I 32
40.6 deg, d = 2.220 Å, I 47
42.8 deg, d = 2.113 Å, I 32
45.9 deg, d = 1.979 Å, I 20
51.2 deg, d = 1.785 Å, I 23

[3]
The following is a theoretical PXRD pattern of BaAg5Se4. It was derived from DFT lattice parameters and positions (PBE), using Cu Kα (weighted mean of Kα1 and Kα2).
Peak positions follow from Bragg's law for the DFT cell and can differ from measured ones.

Structure:
```
data_BaAg5Se4
_chemical_formula_sum 'Ba1 Ag5 Se4'
_cell_length_a 8.6192
_cell_length_b 8.6192
_cell_length_c 7.9950
_cell_angle_alpha 117.52
_cell_angle_beta 117.52
_cell_angle_gamma 29.24
_space_group_name_H-M_alt 'P 1'
_space_group_IT_number 1
loop_
_space_group_symop_operation_xyz
'x,y,z'
loop_
_atom_site_label
_atom_site_type_symbol
_atom_site_fract_x
_atom_site_fract_y
_atom_site_fract_z
Ba1 Ba 0.0000 0.0000 0.0000
Ag1 Ag 0.0000 0.0000 0.5000
Ag2 Ag 0.3207 0.3207 0.0240
Ag3 Ag 0.3221 0.3221 0.6172
Ag4 Ag 0.6779 0.6779 0.3828
Ag5 Ag 0.6793 0.6793 0.9760
Se1 Se 0.2258 0.2258 0.2267
Se2 Se 0.4992 0.4992 0.2927
Se3 Se 0.5008 0.5008 0.7073
Se4 Se 0.7742 0.7742 0.7733
```

Main lines, in order of rising 2θ (10° ≤ 2θ ≤ 80°):
21.3 deg, d = 4.169 Å, I 22
24.3 deg, d = 3.664 Å, I 27
27.5 deg, d = 3.249 Å, I 44
31.0 deg, d = 2.886 Å, I 100
33.2 deg, d = 2.701 Å, I 13
36.8 deg, d = 2.443 Å, I 24
38.5 deg, d = 2.340 Å, I 14
41.5 deg, d = 2.174 Å, I 50
41.6 deg, d = 2.169 Å, I 14
43.6 deg, d = 2.077 Å, I 73

[4]
The following is a theoretical PXRD pattern of BaAg2SnSe4. It was derived from DFT lattice parameters and positions (PBE), using Cu Kα (weighted mean of Kα1 and Kα2).
Peak positions follow from Bragg's law for the DFT cell and can differ from measured ones.

Structure:
```
data_BaAg2SnSe4
_chemical_formula_sum 'Ba1 Ag2 Sn1 Se4'
_cell_length_a 6.7767
_cell_length_b 6.7767
_cell_length_c 6.7767
_cell_angle_alpha 116.11
_cell_angle_beta 110.98
_cell_angle_gamma 101.65
_space_group_name_H-M_alt 'P 1'
_space_group_IT_number 1
loop_
_space_group_symop_operation_xyz
'x,y,z'
loop_
_atom_site_label
_atom_site_type_symbol
_atom_site_fract_x
_atom_site_fract_y
_atom_site_fract_z
Ba1 Ba 0.0000 0.0000 0.0000
Ag1 Ag 0.3208 0.8208 0.5000
Ag2 Ag 0.6792 0.1792 0.5000
Sn1 Sn 0.5000 0.5000 0.0000
Se1 Se 0.1317 0.1192 0.6009
Se2 Se 0.4818 0.8808 0.0125
Se3 Se 0.5182 0.5308 0.3991
Se4 Se 0.8683 0.4692 0.9875
```

Main lines, in order of rising 2θ (10° ≤ 2θ ≤ 80°):
15.5 deg, d = 5.717 Å, I 18
26.9 deg, d = 3.316 Å, I 100
28.4 deg, d = 3.148 Å, I 23
33.5 deg, d = 2.675 Å, I 16
34.2 deg, d = 2.620 Å, I 63
43.1 deg, d = 2.100 Å, I 29
45.0 deg, d = 2.014 Å, I 28
45.8 deg, d = 1.982 Å, I 19
54.5 deg, d = 1.683 Å, I 15
75.9 deg, d = 1.253 Å, I 13

[5]
The following is a theoretical PXRD pattern of BaAgTeSe3. It was derived from DFT lattice parameters and positions (PBE), using Cu Kα (weighted mean of Kα1 and Kα2).
Peak positions follow from Bragg's law for the DFT cell and can differ from measured ones.

Structure:
```
data_BaAgTeSe3
_chemical_formula_sum 'Ba2 Ag2 Te2 Se6'
_cell_length_a 8.3080
_cell_length_b 4.6761
_cell_length_c 9.5184
_cell_angle_alpha 90.00
_cell_angle_beta 105.23
_cell_angle_gamma 90.00
_space_group_name_H-M_alt 'P 1'
_space_group_IT_number 1
loop_
_space_group_symop_operation_xyz
'x,y,z'
loop_
_atom_site_label
_atom_site_type_symbol
_atom_site_fract_x
_atom_site_fract_y
_atom_site_fract_z
Ba1 Ba 0.2263 0.2500 0.2750
Ba2 Ba 0.7737 0.7500 0.7250
Ag1 Ag 0.0878 0.2500 0.5906
Ag2 Ag 0.9122 0.7500 0.4094
Te1 Te 0.2920 0.7500 0.8815
Te2 Te 0.7080 0.2500 0.1185
Se1 Se 0.1146 0.2500 0.8881
Se2 Se 0.2502 0.7500 0.5352
Se3 Se 0.4387 0.7500 0.1571
Se4 Se 0.5613 0.2500 0.8429
Se5 Se 0.7498 0.2500 0.4648
Se6 Se 0.8854 0.7500 0.1119
```

Main lines, in order of rising 2θ (10° ≤ 2θ ≤ 80°):
12.6 deg, d = 7.022 Å, I 39
27.4 deg, d = 3.254 Å, I 47
29.0 deg, d = 3.078 Å, I 100
29.3 deg, d = 3.043 Å, I 94
32.8 deg, d = 2.731 Å, I 39
34.0 deg, d = 2.638 Å, I 55
34.3 deg, d = 2.612 Å, I 80
38.5 deg, d = 2.338 Å, I 73
47.8 deg, d = 1.903 Å, I 43
52.3 deg, d = 1.749 Å, I 42

[6]
The following is a theoretical PXRD pattern of BaAg2Te2Se6. It was derived from DFT lattice parameters and positions (PBE), using Cu Kα (weighted mean of Kα1 and Kα2).
Peak positions follow from Bragg's law for the DFT cell and can differ from measured ones.

Structure:
```
data_BaAg2Te2Se6
_chemical_formula_sum 'Ba1 Ag2 Te2 Se6'
_cell_length_a 7.0793
_cell_length_b 7.2266
_cell_length_c 7.4337
_cell_angle_alpha 63.39
_cell_angle_beta 77.99
_cell_angle_gamma 68.42
_space_group_name_H-M_alt 'P 1'
_space_group_IT_number 1
loop_
_space_group_symop_operation_xyz
'x,y,z'
loop_
_atom_site_label
_atom_site_type_symbol
_atom_site_fract_x
_atom_site_fract_y
_atom_site_fract_z
Ba1 Ba 0.0000 0.0000 0.0000
Ag1 Ag 0.4973 0.8595 0.3022
Ag2 Ag 0.5027 0.1405 0.6978
Te1 Te 0.0255 0.6574 0.6617
Te2 Te 0.9745 0.3426 0.3383
Se1 Se 0.2457 0.5576 0.3687
Se2 Se 0.2588 0.9280 0.6035
Se3 Se 0.2749 0.2974 0.9575
Se4 Se 0.7251 0.7026 0.0425
Se5 Se 0.7412 0.0720 0.3965
Se6 Se 0.7543 0.4424 0.6313
```

Main lines, in order of rising 2θ (10° ≤ 2θ ≤ 80°):
16.4 deg, d = 5.400 Å, I 18
29.0 deg, d = 3.076 Å, I 100
30.2 deg, d = 2.957 Å, I 92
31.1 deg, d = 2.878 Å, I 79
40.8 deg, d = 2.212 Å, I 28
41.9 deg, d = 2.154 Å, I 31
42.8 deg, d = 2.111 Å, I 35
43.6 deg, d = 2.075 Å, I 31
44.2 deg, d = 2.050 Å, I 25
45.2 deg, d = 2.006 Å, I 31

[7]
The following is a theoretical PXRD pattern of BaTmAg2Se4. It was derived from DFT lattice parameters and positions (PBE), using Cu Kα (weighted mean of Kα1 and Kα2).
Peak positions follow from Bragg's law for the DFT cell and can differ from measured ones.

Structure:
```
data_BaTmAg2Se4
_chemical_formula_sum 'Ba1 Tm1 Ag2 Se4'
_cell_length_a 6.6980
_cell_length_b 6.6980
_cell_length_c 6.6980
_cell_angle_alpha 115.90
_cell_angle_beta 111.81
_cell_angle_gamma 101.05
_space_group_name_H-M_alt 'P 1'
_space_group_IT_number 1
loop_
_space_group_symop_operation_xyz
'x,y,z'
loop_
_atom_site_label
_atom_site_type_symbol
_atom_site_fract_x
_atom_site_fract_y
_atom_site_fract_z
Ba1 Ba 0.0000 0.0000 0.0000
Tm1 Tm 0.5000 0.5000 0.0000
Ag1 Ag 0.3143 0.8143 0.5000
Ag2 Ag 0.6857 0.1857 0.5000
Se1 Se 0.0996 0.0993 0.5751
Se2 Se 0.4758 0.9007 0.0002
Se3 Se 0.5242 0.5245 0.4249
Se4 Se 0.9004 0.4755 0.9998
```

Main lines, in order of rising 2θ (10° ≤ 2θ ≤ 80°):
15.7 deg, d = 5.633 Å, I 18
27.1 deg, d = 3.285 Å, I 100
31.8 deg, d = 2.816 Å, I 16
32.8 deg, d = 2.729 Å, I 15
34.8 deg, d = 2.581 Å, I 66
43.8 deg, d = 2.065 Å, I 30
45.4 deg, d = 1.996 Å, I 27
46.1 deg, d = 1.968 Å, I 18
51.4 deg, d = 1.777 Å, I 13
55.3 deg, d = 1.660 Å, I 13

[8]
The following is a theoretical PXRD pattern of Ba3U2AgSe9. It was derived from DFT lattice parameters and positions (PBE), using Cu Kα (weighted mean of Kα1 and Kα2).
Peak positions follow from Bragg's law for the DFT cell and can differ from measured ones.

Structure:
```
data_Ba3U2AgSe9
_chemical_formula_sum 'Ba3 U2 Ag1 Se9'
_cell_length_a 7.5897
_cell_length_b 7.5897
_cell_length_c 9.4452
_cell_angle_alpha 90.00
_cell_angle_beta 90.00
_cell_angle_gamma 120.00
_space_group_name_H-M_alt 'P 1'
_space_group_IT_number 1
loop_
_space_group_symop_operation_xyz
'x,y,z'
loop_
_atom_site_label
_atom_site_type_symbol
_atom_site_fract_x
_atom_site_fract_y
_atom_site_fract_z
Ba1 Ba 0.0000 0.0000 0.0000
Ba2 Ba 0.3333 0.6667 0.6357
Ba3 Ba 0.6667 0.3333 0.3643
U1 U 0.3333 0.6667 0.1734
U2 U 0.6667 0.3333 0.8266
Ag1 Ag 0.0000 0.0000 0.5000
Se1 Se 0.0000 0.5000 0.0000
Se2 Se 0.1670 0.3340 0.3302
Se3 Se 0.1670 0.8330 0.3302
Se4 Se 0.3340 0.1670 0.6698
Se5 Se 0.5000 0.0000 0.0000
Se6 Se 0.5000 0.5000 0.0000
Se7 Se 0.6660 0.8330 0.3302
Se8 Se 0.8330 0.1670 0.6698
Se9 Se 0.8330 0.6660 0.6698
```

Main lines, in order of rising 2θ (10° ≤ 2θ ≤ 80°):
16.4 deg, d = 5.395 Å, I 40
23.2 deg, d = 3.835 Å, I 46
23.4 deg, d = 3.795 Å, I 45
28.8 deg, d = 3.104 Å, I 17
33.2 deg, d = 2.698 Å, I 100
41.1 deg, d = 2.199 Å, I 21
47.4 deg, d = 1.918 Å, I 34
47.9 deg, d = 1.897 Å, I 36
59.6 deg, d = 1.552 Å, I 19
79.8 deg, d = 1.201 Å, I 16

[9]
The following is a theoretical PXRD pattern of BaYAg2Se4. It was derived from DFT lattice parameters and positions (PBE), using Cu Kα (weighted mean of Kα1 and Kα2).
Peak positions follow from Bragg's law for the DFT cell and can differ from measured ones.

Structure:
```
data_BaYAg2Se4
_chemical_formula_sum 'Ba1 Y1 Ag2 Se4'
_cell_length_a 6.7090
_cell_length_b 6.7090
_cell_length_c 6.7090
_cell_angle_alpha 115.65
_cell_angle_beta 111.83
_cell_angle_gamma 101.26
_space_group_name_H-M_alt 'P 1'
_space_group_IT_number 1
loop_
_space_group_symop_operation_xyz
'x,y,z'
loop_
_atom_site_label
_atom_site_type_symbol
_atom_site_fract_x
_atom_site_fract_y
_atom_site_fract_z
Ba1 Ba 0.0000 0.0000 0.0000
Y1 Y 0.5000 0.5000 0.0000
Ag1 Ag 0.3106 0.8106 0.5000
Ag2 Ag 0.6894 0.1894 0.5000
Se1 Se 0.0934 0.0922 0.5702
Se2 Se 0.4780 0.9078 0.0012
Se3 Se 0.5220 0.5232 0.4298
Se4 Se 0.9066 0.4768 0.9988
```

Main lines, in order of rising 2θ (10° ≤ 2θ ≤ 80°):
27.1 deg, d = 3.288 Å, I 100
28.8 deg, d = 3.099 Å, I 18
31.8 deg, d = 2.818 Å, I 14
32.7 deg, d = 2.736 Å, I 13
33.8 deg, d = 2.655 Å, I 15
34.6 deg, d = 2.590 Å, I 73
43.8 deg, d = 2.067 Å, I 30
45.3 deg, d = 2.003 Å, I 27
46.1 deg, d = 1.968 Å, I 17
55.2 deg, d = 1.663 Å, I 15

[10]
The following is a theoretical PXRD pattern of Ba2Ag12Sn7. It was derived from DFT lattice parameters and positions (PBE), using Cu Kα (weighted mean of Kα1 and Kα2).
Peak positions follow from Bragg's law for the DFT cell and can differ from measured ones.

Structure:
```
data_Ba2Ag12Sn7
_chemical_formula_sum 'Ba2 Ag12 Sn7'
_cell_length_a 10.8628
_cell_length_b 10.8628
_cell_length_c 4.9391
_cell_angle_alpha 90.00
_cell_angle_beta 90.00
_cell_angle_gamma 120.00
_space_group_name_H-M_alt 'P 1'
_space_group_IT_number 1
loop_
_space_group_symop_operation_xyz
'x,y,z'
loop_
_atom_site_label
_atom_site_type_symbol
_atom_site_fract_x
_atom_site_fract_y
_atom_site_fract_z
Ba1 Ba 0.3333 0.6667 0.2279
Ba2 Ba 0.6667 0.3333 0.7721
Ag1 Ag 0.0491 0.4320 0.7961
Ag2 Ag 0.1251 0.8720 0.1716
Ag3 Ag 0.1280 0.2531 0.1716
Ag4 Ag 0.2531 0.1251 0.8284
Ag5 Ag 0.3829 0.9509 0.7961
Ag6 Ag 0.4320 0.3829 0.2039
Ag7 Ag 0.5680 0.6171 0.7961
Ag8 Ag 0.6171 0.0491 0.2039
Ag9 Ag 0.7469 0.8749 0.1716
Ag10 Ag 0.8720 0.7469 0.8284
Ag11 Ag 0.8749 0.1280 0.8284
Ag12 Ag 0.9509 0.5680 0.2039
Sn1 Sn 0.0000 0.0000 0.5000
Sn2 Sn 0.1049 0.7121 0.6888
Sn3 Sn 0.2879 0.3928 0.6888
Sn4 Sn 0.3928 0.1049 0.3112
Sn5 Sn 0.6072 0.8951 0.6888
Sn6 Sn 0.7121 0.6072 0.3112
Sn7 Sn 0.8951 0.2879 0.3112
```

Main lines, in order of rising 2θ (10° ≤ 2θ ≤ 80°):
31.0 deg, d = 2.886 Å, I 100
33.9 deg, d = 2.647 Å, I 15
36.4 deg, d = 2.470 Å, I 17
39.0 deg, d = 2.307 Å, I 34
40.1 deg, d = 2.248 Å, I 12
41.9 deg, d = 2.158 Å, I 13
44.1 deg, d = 2.053 Å, I 16
45.9 deg, d = 1.978 Å, I 16
62.1 deg, d = 1.494 Å, I 11
72.2 deg, d = 1.309 Å, I 13

[11]
The following is a theoretical PXRD pattern of BaAg2Sn4. It was derived from DFT lattice parameters and positions (PBE), using Cu Kα (weighted mean of Kα1 and Kα2).
Peak positions follow from Bragg's law for the DFT cell and can differ from measured ones.

Structure:
```
data_BaAg2Sn4
_chemical_formula_sum 'Ba4 Ag8 Sn16'
_cell_length_a 19.7267
_cell_length_b 4.9936
_cell_length_c 7.7102
_cell_angle_alpha 90.00
_cell_angle_beta 90.00
_cell_angle_gamma 90.00
_space_group_name_H-M_alt 'P 1'
_space_group_IT_number 1
loop_
_space_group_symop_operation_xyz
'x,y,z'
loop_
_atom_site_label
_atom_site_type_symbol
_atom_site_fract_x
_atom_site_fract_y
_atom_site_fract_z
Ba1 Ba 0.1432 0.2500 0.0190
Ba2 Ba 0.3568 0.7500 0.5190
Ba3 Ba 0.6432 0.2500 0.4810
Ba4 Ba 0.8568 0.7500 0.9810
Ag1 Ag 0.0341 0.7500 0.2415
Ag2 Ag 0.2152 0.2500 0.5255
Ag3 Ag 0.2848 0.7500 0.0255
Ag4 Ag 0.4659 0.2500 0.7415
Ag5 Ag 0.5341 0.7500 0.2585
Ag6 Ag 0.7152 0.2500 0.9745
Ag7 Ag 0.7848 0.7500 0.4745
Ag8 Ag 0.9659 0.2500 0.7585
Sn1 Sn 0.0334 0.7500 0.8494
Sn2 Sn 0.0657 0.2500 0.4817
Sn3 Sn 0.1799 0.7500 0.3261
Sn4 Sn 0.1867 0.7500 0.7200
Sn5 Sn 0.3133 0.2500 0.2200
Sn6 Sn 0.3201 0.2500 0.8261
Sn7 Sn 0.4343 0.7500 0.9817
Sn8 Sn 0.4666 0.2500 0.3494
Sn9 Sn 0.5334 0.7500 0.6506
Sn10 Sn 0.5657 0.2500 0.0183
Sn11 Sn 0.6799 0.7500 0.1739
Sn12 Sn 0.6867 0.7500 0.7800
Sn13 Sn 0.8133 0.2500 0.2800
Sn14 Sn 0.8201 0.2500 0.6739
Sn15 Sn 0.9343 0.7500 0.5183
Sn16 Sn 0.9666 0.2500 0.1506
```

Main lines, in order of rising 2θ (10° ≤ 2θ ≤ 80°):
30.7 deg, d = 2.915 Å, I 100
31.1 deg, d = 2.873 Å, I 73
32.6 deg, d = 2.746 Å, I 17
33.9 deg, d = 2.647 Å, I 27
36.0 deg, d = 2.497 Å, I 65
37.6 deg, d = 2.394 Å, I 20
40.3 deg, d = 2.237 Å, I 26
50.2 deg, d = 1.816 Å, I 17
58.3 deg, d = 1.582 Å, I 19
61.4 deg, d = 1.511 Å, I 19

[12]
The following is a theoretical PXRD pattern of BaAg5Sn7. It was derived from DFT lattice parameters and positions (PBE), using Cu Kα (weighted mean of Kα1 and Kα2).
Peak positions follow from Bragg's law for the DFT cell and can differ from measured ones.

Structure:
```
data_BaAg5Sn7
_chemical_formula_sum 'Ba1 Ag5 Sn7'
_cell_length_a 7.8937
_cell_length_b 7.8937
_cell_length_c 7.8937
_cell_angle_alpha 134.84
_cell_angle_beta 97.37
_cell_angle_gamma 99.59
_space_group_name_H-M_alt 'P 1'
_space_group_IT_number 1
loop_
_space_group_symop_operation_xyz
'x,y,z'
loop_
_atom_site_label
_atom_site_type_symbol
_atom_site_fract_x
_atom_site_fract_y
_atom_site_fract_z
Ba1 Ba 0.0000 0.0000 0.0000
Ag1 Ag 0.5038 0.4987 0.5074
Ag2 Ag 0.5038 0.9964 0.0051
Ag3 Ag 0.7749 0.2749 0.5000
Ag4 Ag 0.9914 0.4987 0.9949
Ag5 Ag 0.9914 0.9964 0.4926
Sn1 Sn 0.1941 0.4922 0.7019
Sn2 Sn 0.2240 0.7240 0.5000
Sn3 Sn 0.3521 0.3521 0.0000
Sn4 Sn 0.3534 0.0043 0.3491
Sn5 Sn 0.6509 0.6509 0.0000
Sn6 Sn 0.6552 0.0043 0.6509
Sn7 Sn 0.7902 0.4922 0.2981
```

Main lines, in order of rising 2θ (10° ≤ 2θ ≤ 80°):
29.6 deg, d = 3.014 Å, I 36
30.2 deg, d = 2.963 Å, I 24
34.2 deg, d = 2.620 Å, I 47
34.4 deg, d = 2.605 Å, I 79
34.6 deg, d = 2.594 Å, I 74
34.8 deg, d = 2.576 Å, I 51
35.2 deg, d = 2.548 Å, I 40
38.6 deg, d = 2.330 Å, I 100
38.8 deg, d = 2.320 Å, I 28
39.3 deg, d = 2.290 Å, I 42